Starting from a structure optimized by DFT (PBE+U), the X-ray diffraction stick pattern of BaCaPrFeO6 was computed for Cu Kα X-rays.

Atomic structure:
```
BaCaPrFeO6
1.0
0.0000 4.1834 4.1834
4.1834 0.0000 4.1834
4.1834 4.1834 0.0000
Ba Ca Pr Fe O
1 1 1 1 6
Cartesian
0.0000 0.0000 0.0000
4.1834 4.1834 4.1834
6.2751 6.2751 6.2751
2.0917 2.0917 2.0917
2.0917 2.0917 0.2019
2.0917 0.2019 2.0917
3.9815 2.0917 2.0917
0.2019 2.0917 2.0917
2.0917 3.9815 2.0917
2.0917 2.0917 3.9815
```

Main lines, by angle (2θ = 10–90°):
2θ/deg	I/Imax
18.37	22
30.21	100
35.59	17
43.25	33
47.36	9
53.67	38
57.21	5
62.83	20
66.06	5
71.29	18
79.34	6
87.18	21